This entry pairs a crystal structure of Li3SbCl6 with its simulated X-ray diffraction stick pattern. Radiation: Cu Kα. Structure: a cell relaxed with PBE.

The 12 most intense peaks (10 to 90 degrees two-theta), low angle first:
- 14.93 deg, 5.936 Å, I = 56
- 17.25 deg, 5.140 Å, I = 100
- 28.80 deg, 3.100 Å, I = 43
- 34.91 deg, 2.570 Å, I = 56
- 38.16 deg, 2.359 Å, I = 24
- 39.19 deg, 2.299 Å, I = 45
- 45.86 deg, 1.979 Å, I = 14
- 50.20 deg, 1.817 Å, I = 36
- 52.67 deg, 1.738 Å, I = 13
- 53.48 deg, 1.713 Å, I = 22
- 62.60 deg, 1.484 Å, I = 12
- 84.24 deg, 1.149 Å, I = 15

Crystal structure
a = 7.2697 Å, b = 7.2697 Å, c = 7.2697 Å
α = 60.00°, β = 60.00°, γ = 60.00°
Fractional coordinates of all 10 atoms:
1 Li 0.0000 0.0000 0.0000
2 Li 0.2500 0.2500 0.2500
3 Li 0.7500 0.7500 0.7500
4 Sb 0.5000 0.5000 0.5000
5 Cl 0.2441 0.2441 0.7559
6 Cl 0.2441 0.7559 0.2441
7 Cl 0.2441 0.7559 0.7559
8 Cl 0.7559 0.2441 0.2441
9 Cl 0.7559 0.2441 0.7559
10 Cl 0.7559 0.7559 0.2441

***

This entry pairs a crystal structure of Ce2CuTe2O with its simulated X-ray diffraction stick pattern. Radiation: Cu Kα. Structure: a cell relaxed with PBE.

The 12 most intense peaks (10 to 90 degrees two-theta), low angle first:
- 23.61 deg, 3.769 Å, I = 17
- 25.33 deg, 3.516 Å, I = 100
- 34.90 deg, 2.571 Å, I = 25
- 35.74 deg, 2.513 Å, I = 11
- 36.13 deg, 2.486 Å, I = 39
- 39.37 deg, 2.289 Å, I = 10
- 43.62 deg, 2.075 Å, I = 14
- 44.31 deg, 2.044 Å, I = 24
- 51.73 deg, 1.767 Å, I = 15
- 52.02 deg, 1.758 Å, I = 14
- 58.72 deg, 1.572 Å, I = 19
- 70.68 deg, 1.333 Å, I = 11

Crystal structure
a = 3.5157 Å, b = 3.5157 Å, c = 15.0758 Å
α = 90.00°, β = 90.00°, γ = 90.00°
Fractional coordinates of all 6 atoms:
1 Ce 0.0000 0.0000 0.1371
2 Ce 0.0000 0.0000 0.8629
3 Cu 0.0000 0.0000 0.5000
4 Te 0.0000 0.0000 0.3391
5 Te 0.0000 0.0000 0.6609
6 O 0.0000 0.0000 0.0000

***

This entry pairs a crystal structure of K3NaTi2Si3O12 with its simulated X-ray diffraction stick pattern. Radiation: Cu Kα. Structure: a cell relaxed with PBE.

The 12 most intense peaks (10 to 90 degrees two-theta), low angle first:
- 19.64 deg, 4.520 Å, I = 27
- 24.38 deg, 3.651 Å, I = 21
- 27.60 deg, 3.232 Å, I = 12
- 29.79 deg, 2.999 Å, I = 19
- 31.22 deg, 2.865 Å, I = 100
- 33.57 deg, 2.670 Å, I = 64
- 40.94 deg, 2.204 Å, I = 30
- 46.49 deg, 1.953 Å, I = 36
- 49.97 deg, 1.825 Å, I = 10
- 58.56 deg, 1.576 Å, I = 22
- 61.55 deg, 1.507 Å, I = 15
- 70.55 deg, 1.335 Å, I = 16

Crystal structure
a = 9.0451 Å, b = 9.0451 Å, c = 9.0451 Å
α = 61.49°, β = 61.49°, γ = 61.49°
Fractional coordinates of all 42 atoms:
1 K 0.0996 0.7500 0.4004
2 K 0.2500 0.5996 0.9004
3 K 0.4004 0.0996 0.7500
4 K 0.5996 0.9004 0.2500
5 K 0.7500 0.4004 0.0996
6 K 0.9004 0.2500 0.5996
7 Na 0.0000 0.0000 0.0000
8 Na 0.5000 0.5000 0.5000
9 Ti 0.1487 0.1487 0.1487
10 Ti 0.3513 0.3513 0.3513
11 Ti 0.6487 0.6487 0.6487
12 Ti 0.8513 0.8513 0.8513
13 Si 0.0449 0.4551 0.7500
14 Si 0.2500 0.9551 0.5449
15 Si 0.4551 0.7500 0.0449
16 Si 0.5449 0.2500 0.9551
17 Si 0.7500 0.0449 0.4551
18 Si 0.9551 0.5449 0.2500
19 O 0.0012 0.3619 0.2120
20 O 0.0713 0.2733 0.9206
21 O 0.0794 0.9287 0.7267
22 O 0.1381 0.4988 0.2880
23 O 0.2120 0.0012 0.3619
24 O 0.2267 0.4287 0.5794
25 O 0.2733 0.9206 0.0713
26 O 0.2880 0.1381 0.4988
27 O 0.3619 0.2120 0.0012
28 O 0.4206 0.7733 0.5713
29 O 0.4287 0.5794 0.2267
30 O 0.4988 0.2880 0.1381
31 O 0.5012 0.7120 0.8619
32 O 0.5713 0.4206 0.7733
33 O 0.5794 0.2267 0.4287
34 O 0.6381 0.7880 0.9988
35 O 0.7120 0.8619 0.5012
36 O 0.7267 0.0794 0.9287
37 O 0.7733 0.5713 0.4206
38 O 0.7880 0.9988 0.6381
39 O 0.8619 0.5012 0.7120
40 O 0.9206 0.0713 0.2733
41 O 0.9287 0.7267 0.0794
42 O 0.9988 0.6381 0.7880

***

This entry pairs a crystal structure of SrNd2BeO5 with its simulated X-ray diffraction stick pattern. Radiation: Cu Kα. Structure: a cell relaxed with PBE.

The 12 most intense peaks (10 to 90 degrees two-theta), low angle first:
- 28.53 deg, 3.129 Å, I = 40
- 29.48 deg, 3.030 Å, I = 92
- 30.76 deg, 2.907 Å, I = 66
- 30.93 deg, 2.891 Å, I = 100
- 31.11 deg, 2.875 Å, I = 46
- 37.90 deg, 2.374 Å, I = 46
- 39.80 deg, 2.265 Å, I = 39
- 41.35 deg, 2.184 Å, I = 26
- 45.10 deg, 2.010 Å, I = 23
- 52.05 deg, 1.757 Å, I = 27
- 55.69 deg, 1.650 Å, I = 24
- 60.03 deg, 1.541 Å, I = 24

Crystal structure
a = 9.6416 Å, b = 6.6164 Å, c = 7.2871 Å
α = 90.00°, β = 90.00°, γ = 90.00°
Fractional coordinates of all 36 atoms:
1 Sr 0.1751 0.0829 0.0000
2 Sr 0.3249 0.5829 0.5000
3 Sr 0.6751 0.4171 0.0000
4 Sr 0.8249 0.9171 0.5000
5 Nd 0.0231 0.5955 0.7648
6 Nd 0.1721 0.0741 0.5455
7 Nd 0.3279 0.5741 0.0455
8 Nd 0.4769 0.0955 0.2648
9 Nd 0.5231 0.9045 0.7648
10 Nd 0.6721 0.4259 0.5455
11 Nd 0.8279 0.9259 0.0455
12 Nd 0.9769 0.4045 0.2648
13 Be 0.1010 0.8077 0.2678
14 Be 0.3990 0.3077 0.7678
15 Be 0.6010 0.6923 0.2678
16 Be 0.8990 0.1923 0.7678
17 O 0.0105 0.0195 0.2692
18 O 0.0680 0.6956 0.4599
19 O 0.0693 0.6865 0.0771
20 O 0.2223 0.3366 0.2659
21 O 0.2263 0.3643 0.7683
22 O 0.2737 0.8643 0.2683
23 O 0.2777 0.8366 0.7659
24 O 0.4307 0.1865 0.5771
25 O 0.4320 0.1956 0.9599
26 O 0.4895 0.5195 0.7692
27 O 0.5105 0.4805 0.2692
28 O 0.5680 0.8044 0.4599
29 O 0.5693 0.8135 0.0771
30 O 0.7223 0.1634 0.2659
31 O 0.7263 0.1357 0.7683
32 O 0.7737 0.6357 0.2683
33 O 0.7777 0.6634 0.7659
34 O 0.9307 0.3135 0.5771
35 O 0.9320 0.3044 0.9599
36 O 0.9895 0.9805 0.7692

***

Repeat the first record exactly.
This entry pairs a crystal structure of Li3SbCl6 with its simulated X-ray diffraction stick pattern. Radiation: Cu Kα. Structure: a cell relaxed with PBE.

The 12 most intense peaks (10 to 90 degrees two-theta), low angle first:
- 14.93 deg, 5.936 Å, I = 56
- 17.25 deg, 5.140 Å, I = 100
- 28.80 deg, 3.100 Å, I = 43
- 34.91 deg, 2.570 Å, I = 56
- 38.16 deg, 2.359 Å, I = 24
- 39.19 deg, 2.299 Å, I = 45
- 45.86 deg, 1.979 Å, I = 14
- 50.20 deg, 1.817 Å, I = 36
- 52.67 deg, 1.738 Å, I = 13
- 53.48 deg, 1.713 Å, I = 22
- 62.60 deg, 1.484 Å, I = 12
- 84.24 deg, 1.149 Å, I = 15

Crystal structure
a = 7.2697 Å, b = 7.2697 Å, c = 7.2697 Å
α = 60.00°, β = 60.00°, γ = 60.00°
Fractional coordinates of all 10 atoms:
1 Li 0.0000 0.0000 0.0000
2 Li 0.2500 0.2500 0.2500
3 Li 0.7500 0.7500 0.7500
4 Sb 0.5000 0.5000 0.5000
5 Cl 0.2441 0.2441 0.7559
6 Cl 0.2441 0.7559 0.2441
7 Cl 0.2441 0.7559 0.7559
8 Cl 0.7559 0.2441 0.2441
9 Cl 0.7559 0.2441 0.7559
10 Cl 0.7559 0.7559 0.2441